Starting from a crystal structure in the Materials Project, relaxed with GGA-PBE, the powder X-ray diffraction pattern of NiH10C4S2N8 was computed for Cu Kα (λ = 1.5418 Å).

Atomic structure:
```
data_NiH10C4S2N8
_chemical_formula_sum 'Ni4 H40 C16 S8 N32'
_cell_length_a 14.978
_cell_length_b 8.066
_cell_length_c 9.205
_cell_angle_alpha 90.00
_cell_angle_beta 111.24
_cell_angle_gamma 90.00
_space_group_name_H-M_alt 'C 1 2/c 1'
_space_group_IT_number 15
loop_
_space_group_symop_operation_xyz
'x,y,z'
'-x,-y,-z'
'-x,y,-z+1/2'
'x,-y,z+1/2'
'x+1/2,y+1/2,z'
'-x+1/2,-y+1/2,-z'
'-x+1/2,y+1/2,-z+1/2'
'x+1/2,-y+1/2,z+1/2'
loop_
_atom_site_label
_atom_site_type_symbol
_atom_site_fract_x
_atom_site_fract_y
_atom_site_fract_z
Ni1 Ni 0.000 0.110 0.250
H1 H 0.023 0.388 0.151
H2 H 0.061 0.175 0.721
H3 H 0.166 0.287 0.624
H4 H 0.214 0.117 0.045
H5 H 0.249 0.351 0.397
C1 C 0.113 0.260 0.089
C2 C 0.136 0.039 0.635
S1 S 0.133 0.420 0.981
N1 N 0.053 0.273 0.165
N2 N 0.068 0.054 0.691
N3 N 0.160 0.113 0.091
N4 N 0.186 0.169 0.611
```

Largest 10 diffraction maxima, in order of rising 2θ, 10 to 90 degrees two-theta:
2theta	I (rel.)	h k l
12.68	100	2 0 0
17.77	63	1 1 1
25.74	38	2 2 -1
26.28	82	1 1 2
26.45	31	4 0 -2
27.24	33	3 1 1
28.09	57	2 0 2
38.71	14	4 0 2
39.62	13	4 2 -3
45.34	18	5 3 -1